Record 1
In6WO12: theoretical powder X-ray diffraction pattern (λ = 1.5418 Å (Cu Kα)), based on the GGA+U geometry in the Materials Project.

Top 10 peaks for 2θ = 10–90°, by angle:
two_theta  I/Imax  index
23.4  10  0 2 1
29.5  30  0 0 3
29.9  100  2 1 1
34.6  41  3 -2 2
49.4  26  2 1 4
50.0  28  1 4 0
58.6  11  3 -2 5
59.1  23  1 4 3
59.3  12  6 -4 1
62.2  9  4 2 2

Structural model:
```
data_In6WO12
_chemical_formula_sum 'In18 W3 O36'
_space_group_name_H-M_alt 'R -3'
_space_group_IT_number 148
_space_group_name_Hall '-R 3'
_cell_length_a 9.6615
_cell_length_b 9.6615
_cell_length_c 9.0841
_cell_angle_alpha 90.00
_cell_angle_beta 90.00
_cell_angle_gamma 120.00
loop_
_atom_site_label
_atom_site_fract_x
_atom_site_fract_y
_atom_site_fract_z
In1 0.0324 0.2483 0.1439
W1 0.0000 0.0000 0.5000
O1 0.0162 0.1768 0.3810
O2 0.0189 0.2191 0.8951
```


Record 2
Sr4La2Mn3Ir3O18: theoretical powder X-ray diffraction pattern (λ = 1.5418 Å (Cu Kα)), based on the GGA+U geometry in the Materials Project.

Top 10 peaks for 2θ = 10–90°, by angle:
two_theta  I/Imax  index
19.2  22  0 1 1
31.6  100  1 1 0
37.2  9  2 0 1
45.3  31  2 0 4
56.2  30  1 2 4
56.4  10  1 0 8
65.9  9  2 2 0
66.1  9  0 2 8
74.9  9  3 1 4
75.1  9  2 1 8

Structural model:
```
data_Sr4La2Mn3Ir3O18
_chemical_formula_sum 'Sr4 La2 Mn3 Ir3 O18'
_space_group_name_H-M_alt 'P -3 m 1'
_space_group_IT_number 164
_space_group_name_Hall '-P 3 2"'
_cell_length_a 5.6723
_cell_length_b 5.6723
_cell_length_c 13.8373
_cell_angle_alpha 90.00
_cell_angle_beta 90.00
_cell_angle_gamma 120.00
loop_
_atom_site_label
_atom_site_fract_x
_atom_site_fract_y
_atom_site_fract_z
Sr1 0.3333 0.6667 0.0840
Sr2 0.3333 0.6667 0.5849
La1 0.0000 0.0000 0.2490
Mn1 0.0000 0.0000 0.5000
Mn2 0.3333 0.6667 0.8336
Ir1 0.0000 0.0000 0.0000
Ir2 0.3333 0.6667 0.3345
O1 0.0048 0.5024 0.2507
O2 0.1601 0.3203 0.9131
O3 0.1635 0.3271 0.4105
```


- Which formula does entry 2 have?
  Sr4La2Mn3Ir3O18